This entry pairs a crystal structure of MgFe10N8 with its calculated powder X-ray diffraction pattern. Radiation: a wavelength of 1.5418 Å. Structure: the GGA-PBE geometry in Alexandria.
Peak positions follow from Bragg's law for the DFT cell and can differ from measured ones.

Structural model:
a b c (Å): 17.017 3.227 7.726
angles (deg): 90.00 114.20 90.00
Space group C2/m (No. 12)
Unique sites:
Mg (0.000, 0.000, 0.000) [2 per cell]
Fe (0.004, 0.500, 0.324) [4 per cell]
Fe (0.095, 0.000, 0.600) [4 per cell]
Fe (0.155, 0.500, 0.301) [4 per cell]
Fe (0.172, 0.000, 0.971) [4 per cell]
Fe (0.227, 0.500, 0.694) [4 per cell]
N (0.051, 0.000, 0.787) [4 per cell]
N (0.118, 0.500, 0.494) [4 per cell]
N (0.152, 0.000, 0.194) [4 per cell]
N (0.203, 0.500, 0.894) [4 per cell]

Peak list (8 most intense, 10° ≤ 2θ ≤ 90°, in order of rising 2θ)
13.06 deg, d 6.781, intensity 49.5, (2 0 -1)
32.41 deg, d 2.763, intensity 100.0, (3 1 -1)
38.32 deg, d 2.349, intensity 55.3, (0 0 3)
38.45 deg, d 2.341, intensity 93.3, (5 1 -1)
43.02 deg, d 2.102, intensity 43.6, (8 0 -2)
46.19 deg, d 1.965, intensity 51.9, (3 1 2)
56.09 deg, d 1.640, intensity 79.7, (5 1 -4)
57.08 deg, d 1.614, intensity 49.4, (0 2 0)